No. 1
This entry pairs a crystal structure of La3Sm2Pt2 with its computed X-ray powder pattern. Radiation: copper Kα. Structure: DFT lattice parameters and positions (PBE).
Kinematic intensities with the Lorentz-polarization factor, no thermal factor.

Atomic structure:
Lattice parameters (Å, degrees): 3.939 6.619 9.018 71.25 77.42 72.72
Space group P-1 (No. 2)
Unique sites:
La 0.000 0.000 0.000 [1 per cell]
La 0.112 0.209 0.566 [2 per cell]
Sm 0.332 0.523 0.815 [2 per cell]
Pt 0.329 0.109 0.234 [2 per cell]

Most intense lines, 2θ from 10° to 80°, most intense first:
2θ = 31.1°, 2.877 Å, intensity 100; 2θ = 33.2°, 2.702 Å, intensity 61; 2θ = 32.6°, 2.745 Å, intensity 57; 2θ = 29.7°, 3.006 Å, intensity 48; 2θ = 37.3°, 2.411 Å, intensity 47; 2θ = 34.2°, 2.625 Å, intensity 35; 2θ = 34.0°, 2.637 Å, intensity 29; 2θ = 46.1°, 1.969 Å, intensity 29; 2θ = 56.6°, 1.625 Å, intensity 21; 2θ = 14.6°, 6.075 Å, intensity 18; 2θ = 54.5°, 1.684 Å, intensity 17; 2θ = 45.7°, 1.984 Å, intensity 14



No. 2
This entry pairs a crystal structure of LaSm4Pt2 with its computed X-ray powder pattern. Radiation: copper Kα. Structure: DFT lattice parameters and positions (PBE).
Kinematic intensities with the Lorentz-polarization factor, no thermal factor.

Atomic structure:
Lattice parameters (Å, degrees): 7.884 6.723 8.222 90.00 112.89 90.00
Space group P2_1/m (No. 11)
Unique sites:
La 0.145 0.250 0.023 [2 per cell]
Sm 0.015 0.250 0.387 [2 per cell]
Sm 0.255 0.750 0.351 [2 per cell]
Sm 0.405 0.008 0.763 [4 per cell]
Pt 0.262 0.750 0.994 [2 per cell]
Pt 0.375 0.250 0.401 [2 per cell]

Most intense lines, 2θ from 10° to 80°, most intense first:
2θ = 29.8°, 3.003 Å, intensity 100; 2θ = 35.7°, 2.514 Å, intensity 66; 2θ = 35.2°, 2.553 Å, intensity 60; 2θ = 54.6°, 1.680 Å, intensity 45; 2θ = 26.5°, 3.361 Å, intensity 45; 2θ = 34.0°, 2.638 Å, intensity 41; 2θ = 30.6°, 2.924 Å, intensity 40; 2θ = 39.6°, 2.278 Å, intensity 39; 2θ = 34.5°, 2.601 Å, intensity 39; 2θ = 37.9°, 2.373 Å, intensity 37; 2θ = 44.9°, 2.019 Å, intensity 36; 2θ = 34.6°, 2.591 Å, intensity 32



No. 3
This entry pairs a crystal structure of La2Sn3Pt with its computed X-ray powder pattern. Radiation: copper Kα. Structure: DFT lattice parameters and positions (PBE).
Kinematic intensities with the Lorentz-polarization factor, no thermal factor.

Atomic structure:
Lattice parameters (Å, degrees): 4.331 4.836 8.003 90.00 90.00 90.00
Space group Pmm2 (No. 25)
Unique sites:
La 0.000 0.000 0.000 [1 per cell]
La 0.000 0.500 0.479 [1 per cell]
Sn 0.500 0.000 0.629 [1 per cell]
Sn 0.500 0.500 0.166 [1 per cell]
Sn 0.500 0.500 0.814 [1 per cell]
Pt 0.500 0.000 0.298 [1 per cell]

Most intense lines, 2θ from 10° to 80°, most intense first:
2θ = 29.9°, 2.992 Å, intensity 100; 2θ = 38.5°, 2.336 Å, intensity 56; 2θ = 30.4°, 2.939 Å, intensity 56; 2θ = 58.1°, 1.588 Å, intensity 35; 2θ = 37.2°, 2.418 Å, intensity 34; 2θ = 48.8°, 1.867 Å, intensity 31; 2θ = 41.7°, 2.165 Å, intensity 25; 2θ = 57.1°, 1.613 Å, intensity 20; 2θ = 20.5°, 4.331 Å, intensity 17; 2θ = 65.0°, 1.434 Å, intensity 13; 2θ = 62.6°, 1.484 Å, intensity 12; 2θ = 67.9°, 1.380 Å, intensity 11



No. 4
This entry pairs a crystal structure of La2Sn3Pt2 with its computed X-ray powder pattern. Radiation: copper Kα. Structure: DFT lattice parameters and positions (PBE).
Kinematic intensities with the Lorentz-polarization factor, no thermal factor.

Atomic structure:
Lattice parameters (Å, degrees): 4.624 20.165 7.509 90.00 90.00 90.00
Space group Cmcm (No. 63)
Unique sites:
La 0.000 0.046 0.250 [4 per cell]
La 0.000 0.163 0.750 [4 per cell]
Sn 0.000 0.216 0.250 [4 per cell]
Sn 0.000 0.431 0.056 [8 per cell]
Pt 0.000 0.299 0.545 [8 per cell]

Most intense lines, 2θ from 10° to 80°, most intense first:
2θ = 31.0°, 2.885 Å, intensity 100; 2θ = 39.0°, 2.312 Å, intensity 58; 2θ = 31.8°, 2.817 Å, intensity 57; 2θ = 44.2°, 2.049 Å, intensity 46; 2θ = 40.2°, 2.242 Å, intensity 40; 2θ = 38.1°, 2.362 Å, intensity 37; 2θ = 33.5°, 2.674 Å, intensity 36; 2θ = 35.6°, 2.521 Å, intensity 33; 2θ = 66.4°, 1.409 Å, intensity 32; 2θ = 43.2°, 2.092 Å, intensity 31; 2θ = 57.2°, 1.610 Å, intensity 29; 2θ = 36.8°, 2.445 Å, intensity 28



No. 5
This entry pairs a crystal structure of LaSnPt3 with its computed X-ray powder pattern. Radiation: copper Kα. Structure: DFT lattice parameters and positions (PBE).
Kinematic intensities with the Lorentz-polarization factor, no thermal factor.

Atomic structure:
Lattice parameters (Å, degrees): 5.578 7.727 5.407 90.00 90.00 90.00
Space group Pbam (No. 55)
Unique sites:
La 0.000 0.000 0.000 [2 per cell]
Sn 0.000 0.500 0.500 [2 per cell]
Pt 0.000 0.500 0.000 [2 per cell]
Pt 0.080 0.169 0.500 [4 per cell]

Most intense lines, 2θ from 10° to 80°, most intense first:
2θ = 33.1°, 2.704 Å, intensity 100; 2θ = 28.4°, 3.143 Å, intensity 72; 2θ = 32.1°, 2.789 Å, intensity 67; 2θ = 38.5°, 2.338 Å, intensity 51; 2θ = 42.1°, 2.146 Å, intensity 49; 2θ = 46.8°, 1.941 Å, intensity 48; 2θ = 51.7°, 1.769 Å, intensity 44; 2θ = 38.1°, 2.360 Å, intensity 32; 2θ = 43.4°, 2.086 Å, intensity 27; 2θ = 16.4°, 5.407 Å, intensity 24; 2θ = 23.0°, 3.863 Å, intensity 22; 2θ = 34.2°, 2.624 Å, intensity 21



No. 6
This entry pairs a crystal structure of LaSn2Pt with its computed X-ray powder pattern. Radiation: copper Kα. Structure: DFT lattice parameters and positions (PBE).
Kinematic intensities with the Lorentz-polarization factor, no thermal factor.

Atomic structure:
Lattice parameters (Å, degrees): 4.721 9.581 17.840 90.00 90.00 90.00
Space group Immm (No. 71)
Unique sites:
La 0.000 0.000 0.205 [4 per cell]
La 0.000 0.239 0.000 [4 per cell]
Sn 0.000 0.000 0.419 [4 per cell]
Sn 0.000 0.343 0.197 [8 per cell]
Sn 0.000 0.500 0.422 [4 per cell]
Pt 0.000 0.253 0.351 [8 per cell]

Most intense lines, 2θ from 10° to 80°, most intense first:
2θ = 30.5°, 2.927 Å, intensity 100; 2θ = 31.4°, 2.846 Å, intensity 82; 2θ = 38.1°, 2.360 Å, intensity 62; 2θ = 35.5°, 2.526 Å, intensity 56; 2θ = 53.1°, 1.725 Å, intensity 36; 2θ = 45.1°, 2.010 Å, intensity 31; 2θ = 63.5°, 1.466 Å, intensity 28; 2θ = 35.4°, 2.536 Å, intensity 27; 2θ = 37.5°, 2.395 Å, intensity 26; 2θ = 44.6°, 2.031 Å, intensity 21; 2θ = 42.6°, 2.120 Å, intensity 19; 2θ = 33.9°, 2.645 Å, intensity 18



No. 7
This entry pairs a crystal structure of La2Sn3Pt5 with its computed X-ray powder pattern. Radiation: copper Kα. Structure: DFT lattice parameters and positions (PBE).
Kinematic intensities with the Lorentz-polarization factor, no thermal factor.

Atomic structure:
Lattice parameters (Å, degrees): 4.357 26.200 7.655 90.00 90.00 90.00
Space group Cmc2_1 (No. 36)
Unique sites:
La 0.000 0.026 0.000 [4 per cell]
La 0.000 0.324 0.118 [4 per cell]
Sn 0.000 0.130 0.215 [4 per cell]
Sn 0.000 0.280 0.653 [4 per cell]
Sn 0.000 0.445 0.204 [4 per cell]
Pt 0.000 0.087 0.529 [4 per cell]
Pt 0.000 0.200 0.914 [4 per cell]
Pt 0.000 0.225 0.359 [4 per cell]
Pt 0.000 0.377 0.497 [4 per cell]
Pt 0.000 0.455 0.804 [4 per cell]

Most intense lines, 2θ from 10° to 80°, most intense first:
2θ = 33.7°, 2.662 Å, intensity 100; 2θ = 41.4°, 2.179 Å, intensity 76; 2θ = 32.8°, 2.731 Å, intensity 67; 2θ = 35.6°, 2.521 Å, intensity 58; 2θ = 42.3°, 2.135 Å, intensity 53; 2θ = 39.5°, 2.280 Å, intensity 51; 2θ = 36.2°, 2.479 Å, intensity 46; 2θ = 56.2°, 1.636 Å, intensity 26; 2θ = 31.3°, 2.859 Å, intensity 26; 2θ = 65.3°, 1.430 Å, intensity 19; 2θ = 48.0°, 1.894 Å, intensity 19; 2θ = 27.0°, 3.305 Å, intensity 19



No. 8
This entry pairs a crystal structure of La2TiSn3Pt4 with its computed X-ray powder pattern. Radiation: copper Kα. Structure: DFT lattice parameters and positions (PBE).
Kinematic intensities with the Lorentz-polarization factor, no thermal factor.

Atomic structure:
Lattice parameters (Å, degrees): 4.600 4.600 10.632 90.00 90.00 90.00
Space group P-4m2 (No. 115)
Unique sites:
La 0.000 0.500 0.246 [2 per cell]
Ti 0.000 0.000 0.500 [1 per cell]
Sn 0.000 0.500 0.870 [2 per cell]
Sn 0.500 0.500 0.500 [1 per cell]
Pt 0.000 0.000 0.000 [1 per cell]
Pt 0.000 0.500 0.626 [2 per cell]
Pt 0.500 0.500 0.000 [1 per cell]

Most intense lines, 2θ from 10° to 80°, most intense first:
2θ = 32.3°, 2.775 Å, intensity 100; 2θ = 39.2°, 2.300 Å, intensity 89; 2θ = 31.9°, 2.807 Å, intensity 72; 2θ = 44.0°, 2.058 Å, intensity 50; 2θ = 51.4°, 1.779 Å, intensity 38; 2θ = 47.1°, 1.930 Å, intensity 32; 2θ = 56.6°, 1.626 Å, intensity 31; 2θ = 66.7°, 1.403 Å, intensity 27; 2θ = 62.9°, 1.479 Å, intensity 25; 2θ = 74.3°, 1.276 Å, intensity 22; 2θ = 28.7°, 3.111 Å, intensity 18; 2θ = 59.4°, 1.556 Å, intensity 17